Theoretical powder X-ray diffraction pattern of Cd2In5Hg6 for copper Kα, from a crystal structure in Alexandria, relaxed with GGA-PBE.
Lines closer than 0.1° are merged.

Crystal structure
```
data_Cd2In5Hg6
_chemical_formula_sum 'Cd8 In20 Hg24'
_cell_length_a 16.821
_cell_length_b 6.344
_cell_length_c 12.993
_cell_angle_alpha 90.00
_cell_angle_beta 90.68
_cell_angle_gamma 90.00
_symmetry_space_group_name_H-M 'C 1 2/c 1'
_symmetry_Int_Tables_number 15
_symmetry_space_group_name_Hall '-C 2yc'
loop_
_atom_site_label
_atom_site_fract_x
_atom_site_fract_y
_atom_site_fract_z
_atom_site_occupancy
Cd1 0.205 0.169 0.410 1
In1 0.000 0.460 0.250 1
In2 0.061 0.337 0.538 1
In3 0.155 0.036 0.166 1
Hg1 0.035 0.015 0.362 1
Hg2 0.162 0.299 0.964 1
Hg3 0.175 0.472 0.740 1
```

Main lines, in order of rising 2θ (5 to 70 degrees two-theta):
| hkl | Position (°2θ) | I/Imax |
| --- | --- | --- |
| 5 1 -1 | 30.8 | 25 |
| 5 1 1 | 30.9 | 18 |
| 0 2 2 | 31.4 | 100 |
| 1 1 4 | 31.5 | 28 |
| 6 0 0 | 31.9 | 27 |
| 5 1 2 | 33.3 | 43 |
| 6 0 -2 | 34.7 | 24 |
| 4 0 4 | 35.1 | 40 |
| 4 2 2 | 38.2 | 25 |
| 6 2 -2 | 45.3 | 29 |


Theoretical powder X-ray diffraction pattern of Pm3Er3In for copper Kα, from a crystal structure in Alexandria, relaxed with GGA-PBE.
Lines closer than 0.1° are merged.

Crystal structure
```
data_Pm3Er3In
_chemical_formula_sum 'Pm6 Er6 In2'
_cell_length_a 9.458
_cell_length_b 5.579
_cell_length_c 9.462
_cell_angle_alpha 90.00
_cell_angle_beta 119.98
_cell_angle_gamma 90.00
_symmetry_space_group_name_H-M 'P 1 21/m 1'
_symmetry_Int_Tables_number 11
_symmetry_space_group_name_Hall '-P 2yb'
loop_
_atom_site_label
_atom_site_fract_x
_atom_site_fract_y
_atom_site_fract_z
_atom_site_occupancy
Pm1 0.025 0.250 0.130 1
Pm2 0.130 0.750 0.606 1
Pm3 0.394 0.750 0.025 1
Er1 0.263 0.750 0.323 1
Er2 0.323 0.250 0.560 1
Er3 0.441 0.250 0.264 1
In1 0.167 0.250 0.834 1
```

Main lines, in order of rising 2θ (5 to 70 degrees two-theta):
| hkl | Position (°2θ) | I/Imax |
| --- | --- | --- |
| 3 0 -2 | 28.8 | 24 |
| 0 2 0 | 32.1 | 25 |
| 2 1 1 | 33.1 | 100 |
| 3 2 -2 | 43.7 | 16 |
| 1 0 4 | 51.1 | 19 |
| 2 3 1 | 57.8 | 20 |
| 4 0 2 | 59.7 | 3 |
| 1 2 4 | 61.6 | 21 |
| 6 1 -4 | 62.2 | 15 |
| 4 2 2 | 69.4 | 4 |


Theoretical powder X-ray diffraction pattern of La6FeCu2Br3 for copper Kα, from a crystal structure in Alexandria, relaxed with GGA-PBE.
Lines closer than 0.1° are merged.

Crystal structure
```
data_La6FeCu2Br3
_chemical_formula_sum 'La12 Fe2 Cu4 Br6'
_cell_length_a 7.278
_cell_length_b 12.607
_cell_length_c 8.201
_cell_angle_alpha 90.00
_cell_angle_beta 107.26
_cell_angle_gamma 90.00
_symmetry_space_group_name_H-M 'C 1 2/m 1'
_symmetry_Int_Tables_number 12
_symmetry_space_group_name_Hall '-C 2y'
loop_
_atom_site_label
_atom_site_fract_x
_atom_site_fract_y
_atom_site_fract_z
_atom_site_occupancy
La1 0.221 0.155 0.201 1
La2 0.244 0.000 0.800 1
Fe1 0.000 0.000 0.000 1
Cu1 0.000 0.333 0.000 1
Br1 0.000 0.166 0.500 1
Br2 0.000 0.500 0.500 1
```

Main lines, in order of rising 2θ (5 to 70 degrees two-theta):
| hkl | Position (°2θ) | I/Imax |
| --- | --- | --- |
| 0 0 1 | 11.3 | 9 |
| 2 0 0 | 25.6 | 11 |
| 2 0 -2 | 28.9 | 100 |
| 2 0 1 | 31.1 | 12 |
| 0 0 3 | 34.4 | 8 |
| 1 3 2 | 36.4 | 9 |
| 1 3 -3 | 39.4 | 30 |
| 3 3 -1 | 43.1 | 35 |
| 4 0 0 | 52.7 | 17 |
| 4 0 -4 | 59.8 | 8 |